Theoretical powder X-ray diffraction pattern of HoZr for Cu Ka, from a structure optimized by DFT (GGA-PBE).
Kinematic intensities with the Lorentz-polarization factor, no thermal factor.

Structural model:
a b c (Å): 3.4055 3.4055 5.3607
angles (deg): 90.00 90.00 120.00
Space group P-6m2 (No. 187)
Inequivalent atoms, fractional coordinates:
Ho  0.0000  0.0000  0.0000 [1 per cell]
Zr  0.6667  0.3333  0.5000 [1 per cell]

Principal peaks in the range 10 to 80 degrees two-theta, by angle:
- 2θ 30.3, I 28, (1 0 0)
- 2θ 33.4, I 24, (0 0 2)
- 2θ 34.7, I 100, (1 0 1)
- 2θ 45.7, I 18, (1 0 2)
- 2θ 53.8, I 18, (1 1 0)
- 2θ 60.6, I 20, (1 0 3)
- 2θ 64.9, I 21, (1 1 2)
- 2θ 65.7, I 16, (2 0 1)


Theoretical powder X-ray diffraction pattern of InI2 for Cu Ka, from a structure optimized by DFT (GGA-PBE).
Kinematic intensities with the Lorentz-polarization factor, no thermal factor.

Structural model:
a b c (Å): 8.547 11.319 11.605
angles (deg): 90.00 90.00 90.00
Space group Pnna (No. 52)
Inequivalent atoms, fractional coordinates:
In  0.158  0.250  0.250 [4 per cell]
In  0.250  0.000  0.676 [4 per cell]
I  0.008  0.544  0.315 [8 per cell]
I  0.155  0.692  0.953 [8 per cell]

Principal peaks in the range 10 to 80 degrees two-theta, by angle:
- 2θ 20.1, I 53, (1 1 2)
- 2θ 20.3, I 55, (1 2 1)
- 2θ 21.9, I 68, (0 2 2)
- 2θ 23.5, I 56, (2 1 1)
- 2θ 24.3, I 59, (0 1 3)
- 2θ 26.9, I 79, (1 3 1)
- 2θ 27.1, I 100, (2 1 2)
- 2θ 32.2, I 81, (2 1 3)


Theoretical powder X-ray diffraction pattern of KInI3 for Cu Ka, from a structure optimized by DFT (GGA-PBE).
Kinematic intensities with the Lorentz-polarization factor, no thermal factor.

Structural model:
a b c (Å): 12.332 12.332 12.332
angles (deg): 90.00 90.00 90.00
Space group Fm-3m (No. 225)
Inequivalent atoms, fractional coordinates:
K  0.250  0.250  0.250 [8 per cell]
In  0.000  0.000  0.000 [4 per cell]
In  0.000  0.000  0.500 [4 per cell]
I  0.000  0.000  0.241 [24 per cell]

Principal peaks in the range 10 to 80 degrees two-theta, by angle:
- 2θ 14.4, I 76, (2 0 0)
- 2θ 25.0, I 61, (2 2 2)
- 2θ 29.0, I 100, (4 0 0)
- 2θ 32.5, I 41, (4 2 0)
- 2θ 41.4, I 73, (4 4 0)
- 2θ 49.0, I 27, (6 2 2)
- 2θ 51.3, I 26, (4 4 4)
- 2θ 68.0, I 32, (8 4 0)